1.
Ba4Sr2Y3Sb3O18: calculated X-ray powder pattern (Cu Kα, 1.54184 Å), based on a crystal structure in the Materials Project, relaxed with PBE.

Cell and atoms:
abc: 5.993 6.000 13.407
angles: 102.83 102.89 90.06
Sites, in units of the cell vectors:
Ba 0.000 0.000 0.000
Ba 0.167 0.169 0.336
Ba 0.335 0.335 0.669
Ba 0.668 0.667 0.336
Sr 0.496 0.506 0.006
Sr 0.828 0.838 0.671
Y 0.250 0.751 0.503
Y 0.584 0.084 0.167
Y 0.917 0.418 0.835
Sb 0.083 0.583 0.167
Sb 0.418 0.918 0.835
Sb 0.751 0.252 0.503
O 0.172 0.672 0.325
O 0.175 0.694 0.841
O 0.193 0.166 0.836
O 0.312 0.339 0.166
O 0.328 0.829 0.677
O 0.330 0.801 0.158
O 0.506 0.008 0.992
O 0.511 0.025 0.510
O 0.527 0.500 0.504
O 0.644 0.671 0.836
O 0.662 0.163 0.345
O 0.665 0.133 0.825
O 0.838 0.361 0.172
O 0.840 0.342 0.660
O 0.855 0.828 0.167
O 0.977 0.004 0.504
O 0.994 0.475 0.496
O 0.994 0.495 0.010

Principal peaks in the range 2θ from 5° to 70°, low angle first:
2θ (°)	intensity
18.12	3
29.80	100
36.71	3
42.64	31
52.88	37
52.94	3
61.86	13
61.94	6

2.
TaP4S6Cl5: calculated X-ray powder pattern (Cu Kα, 1.54184 Å), based on a crystal structure in the Materials Project, relaxed with PBE.

Cell and atoms:
abc: 7.253 11.557 12.224
angles: 102.17 95.85 104.02
Sites, in units of the cell vectors:
Ta 0.017 0.264 0.148
Ta 0.983 0.736 0.852
P 0.248 0.174 0.553
P 0.444 0.801 0.496
P 0.447 0.864 0.236
P 0.456 0.575 0.287
P 0.544 0.425 0.713
P 0.553 0.136 0.764
P 0.556 0.199 0.504
P 0.752 0.826 0.447
S 0.253 0.356 0.639
S 0.264 0.076 0.680
S 0.309 0.883 0.381
S 0.317 0.609 0.429
S 0.389 0.668 0.165
S 0.405 0.398 0.214
S 0.595 0.602 0.786
S 0.611 0.332 0.835
S 0.683 0.391 0.571
S 0.691 0.117 0.619
S 0.736 0.924 0.320
S 0.747 0.644 0.361
Cl 0.009 0.692 0.657
Cl 0.055 0.553 0.863
Cl 0.094 0.241 0.965
Cl 0.172 0.115 0.178
Cl 0.289 0.862 0.907
Cl 0.711 0.138 0.093
Cl 0.828 0.885 0.822
Cl 0.906 0.759 0.035
Cl 0.945 0.447 0.137
Cl 0.991 0.308 0.343

Principal peaks in the range 2θ from 5° to 70°, low angle first:
2θ (°)	intensity
13.71	37
15.09	52
15.22	100
16.30	29
16.78	21
18.79	20
20.10	23
30.98	21

3.
Al4SiC4: calculated X-ray powder pattern (Cu Kα, 1.54184 Å), based on a crystal structure in the Materials Project, relaxed with PBE.

Cell and atoms:
abc: 3.326 3.326 21.956
angles: 90.00 90.00 120.00
Sites, in units of the cell vectors:
Al 0.000 0.000 0.000
Al 0.000 0.000 0.188
Al 0.000 0.000 0.500
Al 0.000 0.000 0.688
Al 0.333 0.667 0.099
Al 0.333 0.667 0.294
Al 0.667 0.333 0.599
Al 0.667 0.333 0.794
Si 0.333 0.667 0.892
Si 0.667 0.333 0.392
C 0.000 0.000 0.092
C 0.000 0.000 0.349
C 0.000 0.000 0.592
C 0.000 0.000 0.849
C 0.333 0.667 0.209
C 0.333 0.667 0.972
C 0.667 0.333 0.472
C 0.667 0.333 0.709

Principal peaks in the range 2θ from 5° to 70°, low angle first:
2θ (°)	intensity
31.32	99
32.13	28
37.34	70
39.83	85
41.11	54
48.93	28
55.24	100
59.89	28

Which formula does entry 2 have? TaP4S6Cl5